(1)
The following is a simulated powder diffractogram of LaTm4Al. It was derived from a crystal structure in Alexandria, relaxed with GGA-PBE, using Cu Ka.

Atomic structure:
```
LaTm4Al
1.0
3.5372 0.0000 0.0000
0.0000 3.5372 0.0000
0.0000 0.0000 13.8737
La Tm Al
1 4 1
direct
0.0000 0.0000 0.0000
0.0000 0.0000 0.3670
0.0000 0.0000 0.6330
0.5000 0.5000 0.1875
0.5000 0.5000 0.8125
0.5000 0.5000 0.5000
```

The 10 most intense peaks (2θ from 15° to 90°), low angle first:
2θ (°)	d_spacing	I_rel
26.00	3.428	11
28.32	3.151	24
31.85	2.810	100
32.26	2.775	15
35.90	2.501	46
49.03	1.858	19
51.68	1.769	16
59.35	1.557	18
62.00	1.497	30
82.54	1.169	14



(2)
The following is a simulated powder diffractogram of LaTm2Al6. It was derived from a crystal structure in Alexandria, relaxed with GGA-PBE, using Cu Ka.

Atomic structure:
```
LaTm2Al6
1.0
7.9789 0.0000 0.0000
-3.9895 6.9099 0.0000
0.0000 0.0000 3.5087
La Tm Al
1 2 6
direct
0.0000 0.0000 0.0000
0.3333 0.6667 0.0000
0.6667 0.3333 0.0000
0.0000 0.3375 0.5000
0.0000 0.6625 0.5000
0.3375 0.0000 0.5000
0.3375 0.3375 0.5000
0.6625 0.0000 0.5000
0.6625 0.6625 0.5000
```

The 10 most intense peaks (2θ from 15° to 90°), low angle first:
2θ (°)	d_spacing	I_rel
22.28	3.989	72
25.38	3.509	11
34.03	2.635	100
39.11	2.303	45
45.47	1.995	11
47.20	1.926	13
52.79	1.734	29
57.38	1.606	11
67.06	1.396	18
67.62	1.385	27